[1]
For Na2CrN2, DFT lattice parameters and positions (PBE) gives the theoretical XRD peak list in this record (CuKα).
Lines closer than 0.1° are merged.

Top 10 peaks for 10° ≤ 2θ ≤ 90°, by intensity:
2theta  I/Imax  (hkl)
10.05  100.0  0 0 1
40.66  25.5  1 1 2
36.34  16.7  1 1 -1
40.50  13.4  2 0 -2
30.47  11.9  0 0 3
62.50  9.6  3 1 0
36.42  6.9  2 0 1
54.81  6.5  1 1 -4
47.03  6.4  1 1 3
63.96  4.5  1 1 -5

Atomic structure:
```
10
Lattice="5.148 0.000 0.000 0.000 2.972 0.000 -0.051 0.000 8.801" Properties=species:S:1:pos:R:3 pbc="T T T"
Na 0.832 0.000 1.716
Na 1.691 1.486 7.085
Na 3.407 1.486 1.716
Na 4.265 0.000 7.085
Cr -0.025 1.486 4.401
Cr 2.549 0.000 4.401
N 0.833 0.000 5.459
N 1.691 1.486 3.343
N 3.407 1.486 5.459
N 4.265 0.000 3.343
```



[2]
For Na6CrN4, DFT lattice parameters and positions (PBE) gives the theoretical XRD peak list in this record (CuKα).
Lines closer than 0.1° are merged.

Top 10 peaks for 10° ≤ 2θ ≤ 90°, by intensity:
2theta  I/Imax  (hkl)
31.33  100.0  2 1 1
40.02  86.5  3 0 1
19.53  80.8  1 0 1
34.58  67.2  2 2 0
47.03  52.4  2 2 2
41.60  45.9  2 1 2
49.70  44.9  4 0 0
35.51  39.0  1 1 2
55.20  38.3  2 1 3
30.89  30.1  0 0 2

Atomic structure:
```
22
Lattice="7.338 0.000 0.000 0.000 7.338 0.000 0.000 0.000 5.790" Properties=species:S:1:pos:R:3 pbc="T T T"
Na 0.315 3.984 1.448
Na 0.315 7.022 1.448
Na 1.834 1.834 0.542
Na 1.834 1.834 3.437
Na 3.354 3.984 1.448
Na 3.354 7.022 1.448
Na 3.984 0.315 4.343
Na 3.984 3.354 4.343
Na 5.503 5.503 2.354
Na 5.503 5.503 5.249
Na 7.022 0.315 4.343
Na 7.022 3.354 4.343
Cr 1.834 5.503 4.343
Cr 5.503 1.834 1.448
N 0.325 5.503 3.370
N 1.834 3.994 5.316
N 1.834 7.013 5.316
N 3.344 5.503 3.370
N 3.994 1.834 2.420
N 5.503 0.325 0.475
N 5.503 3.344 0.475
N 7.013 1.834 2.420
```



[3]
For NbCrN2, DFT lattice parameters and positions (PBE) gives the theoretical XRD peak list in this record (CuKα).
Lines closer than 0.1° are merged.

Top 10 peaks for 10° ≤ 2θ ≤ 90°, by intensity:
2theta  I/Imax  (hkl)
35.31  100.0  1 0 2
39.90  42.4  1 1 0
60.21  29.9  1 1 4
69.49  26.0  2 1 2
57.70  17.8  2 0 0
43.15  16.1  0 0 4
10.55  15.6  0 0 1
74.69  11.6  2 0 4
74.03  10.7  1 0 6
41.38  9.8  1 1 1

Atomic structure:
```
8
Lattice="3.196 0.000 0.000 0.000 3.196 0.000 0.000 0.000 8.386" Properties=species:S:1:pos:R:3 pbc="T T T"
Nb 0.799 0.799 0.988
Nb 2.397 2.397 7.397
Cr 0.799 0.799 5.240
Cr 2.397 2.397 3.145
N 0.799 0.799 7.165
N 0.799 2.397 4.193
N 2.397 0.799 4.193
N 2.397 2.397 1.221
```



[4]
For Nb2CrN3, DFT lattice parameters and positions (PBE) gives the theoretical XRD peak list in this record (CuKα).
Lines closer than 0.1° are merged.

Top 10 peaks for 10° ≤ 2θ ≤ 90°, by intensity:
2theta  I/Imax  (hkl)
39.55  100.0  1 1 0
33.50  90.5  0 1 3
38.94  77.5  1 0 3
64.39  35.9  1 2 3
63.10  33.3  1 1 6
49.14  30.8  0 2 0
47.05  26.2  0 0 6
50.99  22.5  1 1 4
74.69  17.9  2 1 3
25.22  17.6  0 1 1

Atomic structure:
```
12
Lattice="2.888 0.000 0.000 0.000 3.708 0.000 0.000 0.000 11.587" Properties=species:S:1:pos:R:3 pbc="T T T"
Nb 0.000 0.000 1.732
Nb 0.000 0.000 9.855
Nb 1.444 1.854 4.061
Nb 1.444 1.854 7.526
Cr 0.000 0.000 5.794
Cr 1.444 1.854 0.000
N 0.000 0.000 3.829
N 0.000 0.000 7.759
N 0.000 1.854 5.794
N 1.444 0.000 0.000
N 1.444 1.854 1.965
N 1.444 1.854 9.622
```



[5]
For NbCrN2, DFT lattice parameters and positions (PBE) gives the theoretical XRD peak list in this record (CuKα).
Lines closer than 0.1° are merged.

Top 10 peaks for 10° ≤ 2θ ≤ 90°, by intensity:
2theta  I/Imax  (hkl)
35.38  100.0  1 0 2
42.10  52.5  1 1 0
51.92  46.4  1 1 3
28.98  41.4  0 0 3
58.46  33.3  1 0 5
31.01  30.0  1 0 1
72.58  22.1  2 1 2
61.05  21.4  2 0 0
89.59  19.0  2 1 5
68.97  13.4  2 0 3

Atomic structure:
```
8
Lattice="3.036 0.000 0.000 0.000 3.036 0.000 0.000 0.000 9.242" Properties=species:S:1:pos:R:3 pbc="T T T"
Nb 0.759 0.759 1.575
Nb 2.277 2.277 7.667
Cr 0.759 0.759 5.116
Cr 2.277 2.277 4.126
N 0.759 0.759 6.976
N 0.759 2.277 0.000
N 2.277 0.759 0.000
N 2.277 2.277 2.266
```



[6]
For CrPb3N3, DFT lattice parameters and positions (PBE) gives the theoretical XRD peak list in this record (CuKα).
Lines closer than 0.1° are merged.

Top 10 peaks for 10° ≤ 2θ ≤ 90°, by intensity:
2theta  I/Imax  (hkl)
33.67  100.0  0 0 2
27.60  75.4  1 1 1
30.43  52.2  2 0 1
48.36  50.1  1 2 2
20.92  23.5  1 0 1
59.81  22.8  2 3 1
12.57  22.1  1 0 0
70.79  20.1  0 0 4
80.73  18.5  1 2 4
49.71  17.8  3 1 1

Atomic structure:
```
14
Lattice="8.133 0.000 0.000 -4.067 7.044 0.000 0.000 0.000 5.323" Properties=species:S:1:pos:R:3 pbc="T T T"
Cr 0.000 4.696 1.331
Cr 4.067 2.348 3.992
Pb -0.758 2.836 3.992
Pb -1.232 6.282 3.992
Pb 2.077 2.074 1.331
Pb 1.990 4.969 3.992
Pb 5.299 0.761 1.331
Pb 4.825 4.208 1.331
N -1.083 3.347 1.331
N -0.626 6.308 1.331
N 2.357 2.611 3.992
N 1.709 4.432 1.331
N 4.693 0.736 3.992
N 5.150 3.696 3.992
```



- What is the formula in the second record?
  Na6CrN4



- Number 2 is which compound?
  Na6CrN4